Record 1
Sr6Al12Bi2O27: theoretical PXRD pattern (a wavelength of 1.5418 Å), based on a DFT-relaxed cell (PBE, the Materials Project).
Kinematic intensities with the Lorentz-polarization factor, no thermal factor.

Structure:
Unit cell a=10.635 b=10.635 c=10.635 alpha=115.00 beta=115.00 gamma=115.00
Fractional positions:
1 Sr 0.012 0.407 0.044
2 Sr 0.044 0.012 0.407
3 Sr 0.081 0.438 0.480
4 Sr 0.407 0.044 0.012
5 Sr 0.438 0.480 0.081
6 Sr 0.480 0.081 0.438
7 Al 0.219 0.678 0.978
8 Al 0.265 0.807 0.507
9 Al 0.507 0.265 0.807
10 Al 0.583 0.902 0.859
11 Al 0.588 0.629 0.903
12 Al 0.629 0.903 0.588
13 Al 0.678 0.978 0.219
14 Al 0.807 0.507 0.265
15 Al 0.859 0.583 0.902
16 Al 0.902 0.859 0.583
17 Al 0.903 0.588 0.629
18 Al 0.978 0.219 0.678
19 Bi 0.025 0.025 0.025
20 Bi 0.444 0.444 0.444
21 O 0.008 0.559 0.303
22 O 0.009 0.833 0.739
23 O 0.063 0.111 0.705
24 O 0.111 0.705 0.063
25 O 0.119 0.639 0.769
26 O 0.147 0.234 0.328
27 O 0.181 0.476 0.922
28 O 0.234 0.328 0.147
29 O 0.303 0.008 0.559
30 O 0.328 0.147 0.234
31 O 0.366 0.847 0.717
32 O 0.375 0.777 0.425
33 O 0.425 0.375 0.777
34 O 0.476 0.922 0.181
35 O 0.485 0.661 0.752
36 O 0.559 0.303 0.008
37 O 0.639 0.769 0.119
38 O 0.661 0.752 0.485
39 O 0.705 0.063 0.111
40 O 0.717 0.366 0.847
41 O 0.739 0.009 0.833
42 O 0.752 0.485 0.661
43 O 0.769 0.119 0.639
44 O 0.777 0.425 0.375
45 O 0.833 0.739 0.009
46 O 0.847 0.717 0.366
47 O 0.922 0.181 0.476

Peak list (6 most intense, 2θ from 10° to 80°, by angle)
two_theta	I_rel
19.80	76
26.29	62
27.16	78
27.90	75
29.88	100
32.28	76



Record 2
AlBiS: theoretical PXRD pattern (a wavelength of 1.5418 Å), based on a DFT-relaxed cell (PBE, the Materials Project).
Kinematic intensities with the Lorentz-polarization factor, no thermal factor.

Structure:
Unit cell a=8.558 b=8.558 c=8.558 alpha=102.22 beta=102.22 gamma=125.23
Fractional positions:
1 Al 0.000 0.000 0.500
2 Al 0.000 0.500 0.000
3 Al 0.500 0.000 0.000
4 Al 0.500 0.500 0.500
5 Bi 0.110 0.610 0.721
6 Bi 0.390 0.110 0.500
7 Bi 0.610 0.890 0.500
8 Bi 0.890 0.390 0.279
9 S 0.171 0.329 0.500
10 S 0.329 0.829 0.158
11 S 0.671 0.171 0.842
12 S 0.829 0.671 0.500

Peak list (6 most intense, 2θ from 10° to 80°, by angle)
two_theta	I_rel
11.65	100
21.66	62
25.48	34
32.11	73
40.66	32
46.09	35